[1]
Theoretical powder X-ray diffraction pattern of KNaSO4 for a wavelength of 1.5418 Å, from the PBE geometry in the Materials Project.

Top 8 peaks for 10° ≤ 2θ ≤ 90°, by intensity:
Position (°2θ)  intensity  hkl
31.48  100.0  1 1 0
30.60  62.5  0 1 2
44.48  51.7  2 0 2
18.02  21.2  1 0 0
21.82  20.7  1 0 1
24.52  19.4  0 0 2
65.71  19.1  2 2 0
38.63  16.1  0 2 1

Structure:
```
data_KNaSO4
_chemical_formula_sum 'K2 Na2 S2 O8'
_symmetry_space_group_name_H-M 'P -3 m 1'
_symmetry_Int_Tables_number 164
_symmetry_space_group_name_Hall '-P 3 2"'
_cell_length_a 5.6838
_cell_length_b 5.6838
_cell_length_c 7.2596
_cell_angle_alpha 90.00
_cell_angle_beta 90.00
_cell_angle_gamma 120.00
loop_
_atom_site_label
_atom_site_fract_x
_atom_site_fract_y
_atom_site_fract_z
K1 0.3333 0.6667 0.1643
Na1 0.0000 0.0000 0.0000
Na2 0.0000 0.0000 0.5000
S1 0.3333 0.6667 0.7155
O1 0.1901 0.3802 0.7886
O2 0.3333 0.6667 0.5138
```



[2]
Theoretical powder X-ray diffraction pattern of K3NaS2O8 for a wavelength of 1.5418 Å, from the PBE geometry in the Materials Project.

Top 8 peaks for 10° ≤ 2θ ≤ 90°, by intensity:
Position (°2θ)  intensity  hkl
31.02  100.0  1 1 0
30.03  66.1  0 1 2
43.72  51.8  2 0 2
21.46  21.6  0 1 1
64.67  17.8  2 2 0
54.57  15.6  1 2 2
36.36  14.5  0 0 3
55.19  14.2  3 0 0

Structure:
```
data_K3NaS2O8
_chemical_formula_sum 'K3 Na1 S2 O8'
_symmetry_space_group_name_H-M 'P -3 m 1'
_symmetry_Int_Tables_number 164
_symmetry_space_group_name_Hall '-P 3 2"'
_cell_length_a 5.7654
_cell_length_b 5.7654
_cell_length_c 7.4123
_cell_angle_alpha 90.00
_cell_angle_beta 90.00
_cell_angle_gamma 120.00
loop_
_atom_site_label
_atom_site_fract_x
_atom_site_fract_y
_atom_site_fract_z
K1 0.0000 0.0000 0.0000
K2 0.3333 0.6667 0.6763
Na1 0.0000 0.0000 0.5000
S1 0.3333 0.6667 0.2317
O1 0.1924 0.3848 0.3028
O2 0.3333 0.6667 0.0330
```



[3]
Theoretical powder X-ray diffraction pattern of KNaSb4O12 for a wavelength of 1.5418 Å, from the PBE geometry in the Materials Project.

Top 8 peaks for 10° ≤ 2θ ≤ 90°, by intensity:
Position (°2θ)  intensity  hkl
22.43  100.0  1 1 0
31.93  78.7  2 0 0
51.56  39.8  3 1 0
45.78  32.8  2 2 0
56.90  30.7  2 0 4
66.75  18.9  4 0 0
71.37  10.9  3 1 4
75.95  8.8  4 2 0

Structure:
```
data_KNaSb4O12
_chemical_formula_sum 'K1 Na1 Sb4 O12'
_symmetry_space_group_name_H-M 'P 4/m m m'
_symmetry_Int_Tables_number 123
_symmetry_space_group_name_Hall '-P 4 2'
_cell_length_a 5.603
_cell_length_b 5.603
_cell_length_c 7.935
_cell_angle_alpha 90.00
_cell_angle_beta 90.00
_cell_angle_gamma 90.00
loop_
_atom_site_label
_atom_site_fract_x
_atom_site_fract_y
_atom_site_fract_z
K1 0.000 0.000 0.000
Na1 0.500 0.500 0.500
Sb1 0.000 0.500 0.250
O1 0.000 0.500 0.000
O2 0.000 0.500 0.500
O3 0.253 0.253 0.256
```



[4]
Theoretical powder X-ray diffraction pattern of K3NaSe2O8 for a wavelength of 1.5418 Å, from the PBE geometry in the Materials Project.

Top 8 peaks for 10° ≤ 2θ ≤ 90°, by intensity:
Position (°2θ)  intensity  hkl
29.87  100.0  3 1 0
20.66  67.6  2 0 -2
28.88  63.6  2 0 -4
42.01  25.7  2 2 -4
23.09  25.0  0 0 4
17.12  20.4  1 1 0
53.03  15.3  6 0 0
42.08  15.2  4 0 4

Structure:
```
data_K3NaSe2O8
_chemical_formula_sum 'K12 Na4 Se8 O32'
_symmetry_space_group_name_H-M 'C 1 2/c 1'
_symmetry_Int_Tables_number 15
_cell_length_a 10.363
_cell_length_b 5.981
_cell_length_c 15.410
_cell_angle_alpha 90.00
_cell_angle_beta 90.15
_cell_angle_gamma 90.00
loop_
_symmetry_equiv_pos_as_xyz
'x,y,z'
'-x,-y,-z'
'-x,y,-z+1/2'
'x,-y,z+1/2'
'x+1/2,y+1/2,z'
'-x+1/2,-y+1/2,-z'
'-x+1/2,y+1/2,-z+1/2'
'x+1/2,-y+1/2,z+1/2'
loop_
_atom_site_label
_atom_site_fract_x
_atom_site_fract_y
_atom_site_fract_z
K1 0.000 0.053 0.250
K2 0.170 0.474 0.593
Na1 0.000 0.000 0.000
Se1 0.164 0.481 0.866
O1 0.085 0.240 0.882
O2 0.089 0.316 0.423
O3 0.168 0.445 0.262
O4 0.185 0.044 0.094
```



[5]
Theoretical powder X-ray diffraction pattern of K3NaSe2O8 for a wavelength of 1.5418 Å, from the PBE geometry in the Materials Project.

Top 8 peaks for 10° ≤ 2θ ≤ 90°, by intensity:
Position (°2θ)  intensity  hkl
29.88  100.0  1 1 0
20.69  64.3  1 0 1
28.97  60.8  1 0 2
42.10  44.7  0 2 2
23.20  21.2  0 0 2
62.07  18.9  2 2 0
52.48  18.8  2 1 2
17.12  18.3  1 0 0

Structure:
```
data_K3NaSe2O8
_chemical_formula_sum 'K3 Na1 Se2 O8'
_symmetry_space_group_name_H-M 'P -3 m 1'
_symmetry_Int_Tables_number 164
_symmetry_space_group_name_Hall '-P 3 2"'
_cell_length_a 5.9816
_cell_length_b 5.9816
_cell_length_c 7.6685
_cell_angle_alpha 90.00
_cell_angle_beta 90.00
_cell_angle_gamma 120.00
loop_
_atom_site_label
_atom_site_fract_x
_atom_site_fract_y
_atom_site_fract_z
K1 0.0000 0.0000 0.0000
K2 0.3333 0.6667 0.3295
Na1 0.0000 0.0000 0.5000
Se1 0.3333 0.6667 0.7746
O1 0.1816 0.3633 0.6962
O2 0.3333 0.6667 0.9904
```



[6]
Theoretical powder X-ray diffraction pattern of K4Na2Si6O15 for a wavelength of 1.5418 Å, from the PBE geometry in the Materials Project.

Top 8 peaks for 10° ≤ 2θ ≤ 90°, by intensity:
Position (°2θ)  intensity  hkl
28.88  100.0  1 1 3
25.52  86.6  5 1 -1
30.27  77.2  3 1 -4
25.84  63.3  2 2 -1
27.88  57.7  5 1 -3
30.69  56.1  4 0 2
33.50  54.2  7 1 -2
32.04  50.2  5 1 1

Structure:
```
data_K4Na2Si6O15
_chemical_formula_sum 'K16 Na8 Si24 O60'
_symmetry_space_group_name_H-M 'C 1 2/c 1'
_symmetry_Int_Tables_number 15
_cell_length_a 20.083
_cell_length_b 7.406
_cell_length_c 12.878
_cell_angle_alpha 90.00
_cell_angle_beta 117.78
_cell_angle_gamma 90.00
loop_
_symmetry_equiv_pos_as_xyz
'x,y,z'
'-x,-y,-z'
'-x,y,-z+1/2'
'x,-y,z+1/2'
'x+1/2,y+1/2,z'
'-x+1/2,-y+1/2,-z'
'-x+1/2,y+1/2,-z+1/2'
'x+1/2,-y+1/2,z+1/2'
loop_
_atom_site_label
_atom_site_fract_x
_atom_site_fract_y
_atom_site_fract_z
K1 0.062 0.126 0.166
K2 0.249 0.324 0.165
Na1 0.081 0.412 0.592
Si1 0.067 0.246 0.886
Si2 0.152 0.106 0.502
Si3 0.174 0.451 0.385
O1 0.000 0.269 0.750
O2 0.042 0.316 0.979
O3 0.088 0.026 0.897
O4 0.135 0.308 0.439
O5 0.144 0.113 0.619
O6 0.144 0.345 0.899
O7 0.158 0.411 0.254
O8 0.235 0.036 0.518
```